[1]
Nd2Sm3Er8: calculated X-ray diffraction stick pattern (Cu Kα (weighted mean of Kα1 and Kα2)), based on a GGA-PBE-relaxed structure.

Structure:
```
13
Lattice="3.8238 -10.2923 0.0000 3.8238 10.2923 0.0000 0.0000 0.0000 5.5596" Properties=species:S:1:pos:R:3 pbc="T T T"
Nd 3.8238 5.3337 0.0000
Nd 3.8238 -5.3337 0.0000
Sm 0.0000 0.0000 0.0000
Sm 2.2298 0.0000 2.7798
Sm 5.4179 0.0000 2.7798
Er 3.8238 7.6233 2.7798
Er 2.2042 2.2256 0.0000
Er 3.8238 3.3630 2.7798
Er 2.2042 -2.2256 0.0000
Er 5.4435 2.2256 0.0000
Er 3.8238 -3.3630 2.7798
Er 5.4435 -2.2256 0.0000
Er 3.8238 -7.6233 2.7798
```

Peak list (10 most intense, 2θ = 10–80°, sorted by position)
Position (°2θ)	I_rel
24.84	17
29.41	29
30.62	30
32.20	38
33.35	100
34.87	13
41.10	12
48.19	11
58.15	20
67.43	14



[2]
YGe6S8: calculated X-ray diffraction stick pattern (Cu Kα (weighted mean of Kα1 and Kα2)), based on a GGA-PBE-relaxed structure.

Structure:
```
15
Lattice="4.6028 2.6574 5.0993 -4.6028 2.6574 5.0993 0.0000 -5.3148 5.0993" Properties=species:S:1:pos:R:3 pbc="T T T"
Y 0.0000 0.0000 0.0000
Ge -1.0563 -1.8940 5.5816
Ge -1.1121 1.8618 5.5816
Ge -2.1684 -0.0322 9.7163
Ge 2.1684 0.0322 5.5816
Ge 1.1121 -1.8618 9.7163
Ge 1.0563 1.8940 9.7163
S -3.0955 0.7746 6.4357
S -2.2186 -2.2935 8.8622
S 0.0000 0.0000 4.4102
S 0.8769 -3.0681 6.4357
S -0.8769 3.0681 8.8622
S 0.0000 0.0000 10.8877
S 2.2186 2.2935 6.4357
S 3.0955 -0.7746 8.8622
```

Peak list (10 most intense, 2θ = 10–80°, sorted by position)
Position (°2θ)	I_rel
17.39	100
30.23	27
31.92	89
32.44	35
38.02	30
40.44	24
42.09	32
51.69	27
52.61	21
55.84	21



[3]
CrReTc2: calculated X-ray diffraction stick pattern (Cu Kα (weighted mean of Kα1 and Kα2)), based on a GGA-PBE-relaxed structure.

Structure:
```
4
Lattice="2.7118 0.0000 0.0000 0.0000 4.1815 0.0000 -1.1313 0.0000 4.9934" Properties=species:S:1:pos:R:3 pbc="T T T"
Cr 0.0000 0.0000 0.0000
Re 2.2215 2.0907 1.2675
Tc -0.0885 2.0907 3.8790
Tc 1.0854 0.0000 2.4705
```

Peak list (10 most intense, 2θ = 10–80°, sorted by position)
Position (°2θ)	I_rel
17.76	20
21.25	25
27.83	16
40.35	20
41.05	90
42.04	44
42.15	100
43.27	47
61.92	27
78.61	16



[4]
BaBi: calculated X-ray diffraction stick pattern (Cu Kα (weighted mean of Kα1 and Kα2)), based on a GGA-PBE-relaxed structure.

Structure:
```
8
Lattice="5.0144 -4.5564 0.0000 5.0144 4.5564 0.0000 0.0000 0.0000 7.0463" Properties=species:S:1:pos:R:3 pbc="T T T"
Ba 1.8786 1.4735 1.7616
Ba 1.8786 -1.4735 5.2847
Ba 8.1501 1.4735 1.7616
Ba 8.1501 -1.4735 5.2847
Bi 5.0144 3.0248 1.7616
Bi 5.0144 0.0000 0.0000
Bi 5.0144 0.0000 3.5232
Bi 5.0144 -3.0248 5.2847
```

Peak list (10 most intense, 2θ = 10–80°, sorted by position)
Position (°2θ)	I_rel
17.69	29
28.59	100
29.36	85
30.76	84
31.20	92
32.11	53
48.41	27
53.53	26
54.87	39
78.93	39



[5]
Li3YBr6: calculated X-ray diffraction stick pattern (Cu Kα (weighted mean of Kα1 and Kα2)), based on a GGA-PBE-relaxed structure.

Structure:
```
20
Lattice="3.4855 -5.9898 0.0000 3.4855 5.9898 0.0000 -2.3140 0.0000 13.0919" Properties=species:S:1:pos:R:3 pbc="T T T"
Li 1.7501 4.9178 9.8189
Li -0.6798 0.9378 13.0766
Li 0.4772 -0.9378 6.5306
Li 4.1799 0.9378 6.5613
Li 5.3369 -0.9378 0.0153
Li 2.9071 -4.9178 3.2730
Y 0.5858 2.9949 6.5460
Y 1.7428 -2.9949 0.0000
Br -0.5832 0.9760 8.1335
Br 0.5835 3.0950 11.5291
Br 0.5738 -0.9760 1.5876
Br 1.6462 0.9389 4.9652
Br 2.9166 3.0950 8.1088
Br 0.4892 -0.9389 11.5112
Br 4.1680 0.9389 1.5807
Br 1.7405 -3.0950 4.9831
Br 3.0110 -0.9389 8.1267
Br 4.0834 0.9760 11.5043
Br 4.0736 -3.0950 1.5628
Br 5.2403 -0.9760 4.9584
```

Peak list (10 most intense, 2θ = 10–80°, sorted by position)
Position (°2θ)	I_rel
13.53	18
27.15	34
27.28	93
31.47	51
31.61	100
45.16	54
45.26	36
45.43	17
53.53	22
56.30	18



[6]
SnTeO4: calculated X-ray diffraction stick pattern (Cu Kα (weighted mean of Kα1 and Kα2)), based on a GGA-PBE-relaxed structure.

Structure:
```
12
Lattice="5.4091 0.0000 0.0000 0.0000 5.2443 0.0000 0.0000 0.0000 5.8150" Properties=species:S:1:pos:R:3 pbc="T T T"
Sn 0.0000 0.0000 0.0000
Sn 0.0000 2.6222 2.9075
Te 2.7046 0.0000 1.9104
Te 2.7046 2.6222 4.8179
O 0.8968 1.2520 1.5767
O 0.8968 1.3702 4.4842
O 1.7417 3.6104 3.3871
O 1.7417 4.2561 0.4796
O 3.6674 0.9882 0.4796
O 3.6674 1.6339 3.3871
O 4.5123 3.8741 4.4842
O 4.5123 3.9924 1.5767
```

Peak list (10 most intense, 2θ = 10–80°, sorted by position)
Position (°2θ)	I_rel
22.83	39
28.24	100
33.12	17
35.04	23
48.35	20
49.77	28
50.18	15
56.22	16
57.64	15
61.45	16



Number 3 is which compound? CrReTc2



Repeat the first record exactly.
Nd2Sm3Er8: calculated X-ray diffraction stick pattern (Cu Kα (weighted mean of Kα1 and Kα2)), based on a GGA-PBE-relaxed structure.

Structure:
```
13
Lattice="3.8238 -10.2923 0.0000 3.8238 10.2923 0.0000 0.0000 0.0000 5.5596" Properties=species:S:1:pos:R:3 pbc="T T T"
Nd 3.8238 5.3337 0.0000
Nd 3.8238 -5.3337 0.0000
Sm 0.0000 0.0000 0.0000
Sm 2.2298 0.0000 2.7798
Sm 5.4179 0.0000 2.7798
Er 3.8238 7.6233 2.7798
Er 2.2042 2.2256 0.0000
Er 3.8238 3.3630 2.7798
Er 2.2042 -2.2256 0.0000
Er 5.4435 2.2256 0.0000
Er 3.8238 -3.3630 2.7798
Er 5.4435 -2.2256 0.0000
Er 3.8238 -7.6233 2.7798
```

Peak list (10 most intense, 2θ = 10–80°, sorted by position)
Position (°2θ)	I_rel
24.84	17
29.41	29
30.62	30
32.20	38
33.35	100
34.87	13
41.10	12
48.19	11
58.15	20
67.43	14